# 1
Starting from DFT lattice parameters and positions (PBE), the powder X-ray diffraction pattern of FeSi16Ge12P3 was calculated for CuKα.
Kinematic intensities with the Lorentz-polarization factor, no thermal factor.

Most intense lines, 2θ = 10–90°, in order of rising 2θ:
d 3.226, rel. 50.9; d 3.197, rel. 46.6; d 3.177, rel. 100.0; d 1.974, rel. 23.8; d 1.962, rel. 46.3; d 1.949, rel. 44.9; d 1.942, rel. 22.8; d 1.673, rel. 21.7

Structure:
abc: 6.7378 10.3465 10.4144
angles: 94.73 108.78 96.52
Space group P1 (No. 1)
One atom of each set of equivalent atoms:
Fe 0.0000 0.0000 0.0000 (multiplicity 1)
Si 0.0694 0.6781 0.5645 (multiplicity 1)
Si 0.1131 0.9514 0.2175 (multiplicity 1)
Si 0.1696 0.6319 0.7921 (multiplicity 1)
Si 0.1979 0.0542 0.6978 (multiplicity 1)
Si 0.2819 0.0072 0.9280 (multiplicity 1)
Si 0.3635 0.6947 0.4876 (multiplicity 1)
Si 0.3790 0.1102 0.3759 (multiplicity 1)
Si 0.4862 0.0667 0.6092 (multiplicity 1)
Si 0.4931 0.4910 0.4975 (multiplicity 1)
Si 0.5473 0.7588 0.1697 (multiplicity 1)
Si 0.5673 0.1724 0.0565 (multiplicity 1)
Si 0.6220 0.8648 0.6317 (multiplicity 1)
Si 0.6704 0.1346 0.2912 (multiplicity 1)
Si 0.6804 0.5577 0.1830 (multiplicity 1)
Si 0.7538 0.8362 0.8656 (multiplicity 1)
Si 0.7569 0.2310 0.7561 (multiplicity 1)
Ge 0.1077 0.3595 0.1177 (multiplicity 1)
Ge 0.2292 0.3125 0.3573 (multiplicity 1)
Ge 0.2558 0.7486 0.2553 (multiplicity 1)
Ge 0.3055 0.4249 0.8090 (multiplicity 1)
Ge 0.4239 0.3752 0.0469 (multiplicity 1)
Ge 0.4413 0.8067 0.9349 (multiplicity 1)
Ge 0.6132 0.4359 0.7275 (multiplicity 1)
Ge 0.7928 0.5074 0.4160 (multiplicity 1)
Ge 0.8242 0.9323 0.3092 (multiplicity 1)
Ge 0.8696 0.6242 0.8698 (multiplicity 1)
Ge 0.9218 0.8832 0.5500 (multiplicity 1)
Ge 0.9799 0.5731 0.1069 (multiplicity 1)
P 0.0436 0.2439 0.6798 (multiplicity 1)
P 0.8576 0.1788 0.9796 (multiplicity 1)
P 0.9253 0.3005 0.4306 (multiplicity 1)

# 2
Starting from DFT lattice parameters and positions (PBE), the powder X-ray diffraction pattern of Pm2Si2Ir was calculated for CuKα.
Kinematic intensities with the Lorentz-polarization factor, no thermal factor.

Most intense lines, 2θ = 10–90°, in order of rising 2θ:
d 3.284, rel. 47.1; d 2.769, rel. 34.6; d 2.739, rel. 54.3; d 2.683, rel. 100.0; d 2.676, rel. 32.1; d 2.491, rel. 60.8; d 2.238, rel. 68.2; d 2.132, rel. 43.9

Structure:
abc: 11.0614 4.2649 10.2980
angles: 90.00 119.70 90.00
Space group C2/m (No. 12)
One atom of each set of equivalent atoms:
Pm 0.0096 0.0000 0.1776 (multiplicity 4)
Pm 0.1839 0.0000 0.6032 (multiplicity 4)
Si 0.0013 0.5000 0.3730 (multiplicity 4)
Si 0.1537 0.5000 0.0692 (multiplicity 4)
Ir 0.2230 0.5000 0.8778 (multiplicity 4)

# 3
Starting from DFT lattice parameters and positions (PBE), the powder X-ray diffraction pattern of Y2Ni2B2AsC was calculated for CuKα.
Kinematic intensities with the Lorentz-polarization factor, no thermal factor.

Most intense lines, 2θ = 10–90°, in order of rising 2θ:
d 2.726, rel. 26.6; d 2.718, rel. 22.7; d 2.578, rel. 57.4; d 2.564, rel. 100.0; d 2.224, rel. 81.2; d 1.922, rel. 56.7; d 1.541, rel. 44.2; d 1.202, rel. 18.7

Structure:
abc: 3.8436 3.8436 7.7334
angles: 90.00 90.00 90.00
Space group P4mm (No. 99)
One atom of each set of equivalent atoms:
Y 0.0000 0.0000 0.0000 (multiplicity 1)
Y 0.5000 0.5000 0.3403 (multiplicity 1)
Ni 0.0000 0.5000 0.7048 (multiplicity 2)
B 0.0000 0.0000 0.6381 (multiplicity 1)
B 0.5000 0.5000 0.8414 (multiplicity 1)
As 0.0000 0.0000 0.3709 (multiplicity 1)
C 0.5000 0.5000 0.0352 (multiplicity 1)

# 4
Starting from DFT lattice parameters and positions (PBE), the powder X-ray diffraction pattern of NbAlHg was calculated for CuKα.
Kinematic intensities with the Lorentz-polarization factor, no thermal factor.

Most intense lines, 2θ = 10–90°, in order of rising 2θ:
d 3.609, rel. 26.6; d 3.126, rel. 89.8; d 2.210, rel. 100.0; d 1.885, rel. 14.6; d 1.805, rel. 25.1; d 1.563, rel. 16.8; d 1.398, rel. 32.5; d 1.276, rel. 34.5

Structure:
abc: 6.2516 6.2516 6.2516
angles: 90.00 90.00 90.00
Space group F-43m (No. 216)
One atom of each set of equivalent atoms:
Nb 0.0000 0.0000 0.0000 (multiplicity 4)
Al 0.2500 0.2500 0.7500 (multiplicity 4)
Hg 0.0000 0.0000 0.5000 (multiplicity 4)

# 5
Starting from DFT lattice parameters and positions (PBE), the powder X-ray diffraction pattern of GaFeSi17Ge13 was calculated for CuKα.
Kinematic intensities with the Lorentz-polarization factor, no thermal factor.

Most intense lines, 2θ = 10–90°, in order of rising 2θ:
d 3.214, rel. 100.0; d 3.203, rel. 34.5; d 1.971, rel. 32.0; d 1.965, rel. 47.5; d 1.961, rel. 15.8; d 1.683, rel. 14.2; d 1.675, rel. 28.8; d 1.135, rel. 12.9

Structure:
abc: 5.5845 3.9287 31.3760
angles: 90.00 90.23 90.00
Space group Pm (No. 6)
One atom of each set of equivalent atoms:
Ga 0.0000 0.0000 0.0000 (multiplicity 1)
Fe 0.2484 0.0000 0.0634 (multiplicity 1)
Si 0.2403 0.0000 0.1845 (multiplicity 1)
Si 0.2411 0.0000 0.6851 (multiplicity 1)
Si 0.2423 0.0000 0.4357 (multiplicity 1)
Si 0.2471 0.0000 0.9367 (multiplicity 1)
Si 0.4638 0.5000 0.0619 (multiplicity 1)
Si 0.4803 0.5000 0.1860 (multiplicity 1)
Si 0.4808 0.5000 0.4367 (multiplicity 1)
Si 0.4821 0.5000 0.9361 (multiplicity 1)
Si 0.4836 0.5000 0.6858 (multiplicity 1)
Si 0.4922 0.5000 0.8097 (multiplicity 1)
Si 0.7300 0.5000 0.7475 (multiplicity 1)
Si 0.7309 0.5000 0.2466 (multiplicity 1)
Si 0.7315 0.5000 0.4974 (multiplicity 1)
Si 0.7414 0.5000 0.6257 (multiplicity 1)
Si 0.9831 0.0000 0.6253 (multiplicity 1)
Si 0.9911 0.0000 0.3753 (multiplicity 1)
Si 0.9965 0.0000 0.1217 (multiplicity 1)
Ge 0.2308 0.0000 0.3116 (multiplicity 1)
Ge 0.2307 0.0000 0.5623 (multiplicity 1)
Ge 0.2425 0.0000 0.8105 (multiplicity 1)
Ge 0.4926 0.5000 0.3104 (multiplicity 1)
Ge 0.4953 0.5000 0.5619 (multiplicity 1)
Ge 0.7212 0.5000 0.0003 (multiplicity 1)
Ge 0.7314 0.5000 0.8739 (multiplicity 1)
Ge 0.7362 0.5000 0.1233 (multiplicity 1)
Ge 0.7415 0.5000 0.3755 (multiplicity 1)
Ge 0.9808 0.0000 0.2464 (multiplicity 1)
Ge 0.9824 0.0000 0.4969 (multiplicity 1)
Ge 0.9821 0.0000 0.7468 (multiplicity 1)
Ge 0.9916 0.0000 0.8750 (multiplicity 1)

- Number 2 is which compound?
  Pm2Si2Ir